Record 1
Starting from a cell relaxed with GGA+U, the powder diffraction line list of Na2Mn3O7 was computed for copper Kα.

```
data_Na2Mn3O7
_chemical_formula_sum 'Na4 Mn6 O14'
_cell_length_a 6.823
_cell_length_b 6.853
_cell_length_c 7.715
_cell_angle_alpha 109.94
_cell_angle_beta 103.01
_cell_angle_gamma 111.08
_symmetry_space_group_name_H-M 'P -1'
_symmetry_Int_Tables_number 2
_symmetry_space_group_name_Hall '-P 1'
loop_
_atom_site_label
_atom_site_fract_x
_atom_site_fract_y
_atom_site_fract_z
Na1 0.172 0.165 0.440
Na2 0.315 0.231 0.026
Mn1 0.078 0.577 0.720
Mn2 0.218 0.720 0.142
Mn3 0.360 0.857 0.579
O1 0.058 0.378 0.084
O2 0.086 0.762 0.349
O3 0.196 0.886 0.746
O4 0.208 0.529 0.517
O5 0.318 0.629 0.934
O6 0.355 0.047 0.225
O7 0.490 0.811 0.365
```

Most intense lines, 2θ = 5–70°, in order of rising 2θ:
- (1 -1 0), 2θ = 15.8°, intensity 100
- (2 -2 0), 2θ = 31.8°, intensity 9
- (1 0 2), 2θ = 36.0°, intensity 8
- (1 2 -1), 2θ = 36.4°, intensity 9
- (2 0 -3), 2θ = 40.1°, intensity 17
- (2 -1 2), 2θ = 41.7°, intensity 18
- (0 3 -1), 2θ = 43.3°, intensity 18
- (-3 1 3), 2θ = 50.1°, intensity 9
- (3 -2 2), 2θ = 52.5°, intensity 8
- (2 2 1), 2θ = 63.8°, intensity 8

***

Record 2
Starting from a cell relaxed with GGA+U, the powder diffraction line list of Na6Mn7O10 was computed for copper Kα.

```
data_Na6Mn7O10
_chemical_formula_sum 'Na12 Mn14 O20'
_cell_length_a 22.240
_cell_length_b 3.475
_cell_length_c 8.718
_cell_angle_alpha 90.00
_cell_angle_beta 107.71
_cell_angle_gamma 90.00
_symmetry_space_group_name_H-M 'C 1 m 1'
_symmetry_Int_Tables_number 8
_symmetry_space_group_name_Hall 'C -2y'
loop_
_atom_site_label
_atom_site_fract_x
_atom_site_fract_y
_atom_site_fract_z
Na1 0.000 0.000 0.000
Na2 0.003 0.000 0.340
Na3 0.104 0.000 0.920
Na4 0.199 0.500 0.766
Na5 0.280 0.000 0.518
Na6 0.371 0.500 0.420
Mn1 0.045 0.500 0.634
Mn2 0.144 0.000 0.465
Mn3 0.155 0.500 0.217
Mn4 0.247 0.000 0.081
Mn5 0.337 0.500 0.880
Mn6 0.391 0.000 0.195
Mn7 0.428 0.000 0.693
O1 0.019 0.500 0.841
O2 0.100 0.000 0.217
O3 0.100 0.000 0.637
O4 0.188 0.500 0.026
O5 0.198 0.500 0.469
O6 0.283 0.000 0.877
O7 0.316 0.000 0.282
O8 0.374 0.500 0.683
O9 0.415 0.500 0.099
O10 0.457 0.000 0.454
```

Most intense lines, 2θ = 5–70°, in order of rising 2θ:
- (2 0 1), 2θ = 15.4°, intensity 77
- (6 0 -2), 2θ = 27.7°, intensity 50
- (3 1 -1), 2θ = 29.2°, intensity 69
- (1 1 -2), 2θ = 33.0°, intensity 100
- (7 1 0), 2θ = 39.5°, intensity 81
- (4 0 -4), 2θ = 41.6°, intensity 56
- (7 1 1), 2θ = 43.5°, intensity 41
- (9 1 -3), 2θ = 50.0°, intensity 59
- (0 2 0), 2θ = 52.7°, intensity 58
- (3 1 4), 2θ = 56.5°, intensity 49

***

Record 3
Starting from a cell relaxed with GGA+U, the powder diffraction line list of Na2Mn2O3 was computed for copper Kα.

```
data_Na2Mn2O3
_chemical_formula_sum 'Na8 Mn8 O12'
_cell_length_a 6.494
_cell_length_b 6.494
_cell_length_c 9.607
_cell_angle_alpha 90.00
_cell_angle_beta 90.00
_cell_angle_gamma 90.00
_symmetry_space_group_name_H-M 'P 43 21 2'
_symmetry_Int_Tables_number 96
_symmetry_space_group_name_Hall 'P 4nw 2abw'
loop_
_atom_site_label
_atom_site_fract_x
_atom_site_fract_y
_atom_site_fract_z
Na1 0.019 0.243 0.362
Mn1 0.041 0.252 0.883
O1 0.001 0.745 0.603
O2 0.193 0.807 0.250
```

Most intense lines, 2θ = 5–70°, in order of rising 2θ:
- (1 0 1), 2θ = 16.5°, intensity 21
- (1 1 1), 2θ = 21.4°, intensity 60
- (2 0 2), 2θ = 33.3°, intensity 100
- (0 0 4), 2θ = 37.4°, intensity 35
- (2 2 0), 2θ = 39.2°, intensity 62
- (3 2 1), 2θ = 51.6°, intensity 16
- (2 2 4), 2θ = 55.4°, intensity 44
- (4 0 0), 2θ = 56.7°, intensity 18
- (4 2 2), 2θ = 67.4°, intensity 14
- (4 0 4), 2θ = 69.9°, intensity 14

***

Record 4
Starting from a cell relaxed with GGA+U, the powder diffraction line list of Na3Mn8O16 was computed for copper Kα.

```
data_Na3Mn8O16
_chemical_formula_sum 'Na6 Mn16 O32'
_cell_length_a 6.137
_cell_length_b 12.448
_cell_length_c 8.384
_cell_angle_alpha 90.00
_cell_angle_beta 90.00
_cell_angle_gamma 90.00
_symmetry_space_group_name_H-M 'P m m n'
_symmetry_Int_Tables_number 59
loop_
_symmetry_equiv_pos_as_xyz
'x,y,z'
'-x,-y,-z'
'-x+1/2,-y+1/2,z'
'x+1/2,y+1/2,-z'
'x+1/2,-y,-z'
'-x+1/2,y,z'
'-x,y+1/2,-z'
'x,-y+1/2,z'
loop_
_atom_site_label
_atom_site_fract_x
_atom_site_fract_y
_atom_site_fract_z
Na1 0.250 0.004 0.126
Na2 0.250 0.250 0.376
Mn1 0.000 0.000 0.500
Mn2 0.003 0.750 0.010
Mn3 0.250 0.129 0.740
Mn4 0.250 0.625 0.755
O1 0.024 0.750 0.783
O2 0.038 0.013 0.728
O3 0.042 0.250 0.751
O4 0.250 0.100 0.503
O5 0.250 0.145 0.968
O6 0.250 0.604 0.523
O7 0.250 0.644 0.987
```

Most intense lines, 2θ = 5–70°, in order of rising 2θ:
- (0 2 1), 2θ = 17.7°, intensity 100
- (1 0 1), 2θ = 17.9°, intensity 92
- (1 4 1), 2θ = 34.0°, intensity 49
- (2 2 1), 2θ = 34.3°, intensity 47
- (0 2 3), 2θ = 35.2°, intensity 44
- (2 4 0), 2θ = 41.3°, intensity 73
- (0 0 4), 2θ = 43.2°, intensity 30
- (2 6 1), 2θ = 54.5°, intensity 23
- (3 4 1), 2θ = 54.8°, intensity 21
- (2 4 4), 2θ = 61.3°, intensity 53

***

Record 5
Starting from a cell relaxed with GGA+U, the powder diffraction line list of NaMn3O6 was computed for copper Kα.

```
data_NaMn3O6
_chemical_formula_sum 'Na2 Mn6 O12'
_cell_length_a 8.772
_cell_length_b 2.922
_cell_length_c 9.447
_cell_angle_alpha 90.00
_cell_angle_beta 111.73
_cell_angle_gamma 90.00
_symmetry_space_group_name_H-M 'P 1 21/m 1'
_symmetry_Int_Tables_number 11
_symmetry_space_group_name_Hall '-P 2yb'
loop_
_atom_site_label
_atom_site_fract_x
_atom_site_fract_y
_atom_site_fract_z
Na1 0.147 0.250 0.444
Mn1 0.162 0.750 0.039
Mn2 0.239 0.250 0.784
Mn3 0.462 0.250 0.352
O1 0.041 0.250 0.905
O2 0.138 0.750 0.647
O3 0.257 0.250 0.176
O4 0.310 0.750 0.936
O5 0.369 0.750 0.440
O6 0.441 0.250 0.712
```

Most intense lines, 2θ = 5–70°, in order of rising 2θ:
- (1 0 -1), 2θ = 11.8°, intensity 29
- (1 0 1), 2θ = 17.4°, intensity 100
- (2 0 -1), 2θ = 20.4°, intensity 54
- (2 0 -3), 2θ = 30.3°, intensity 29
- (3 0 0), 2θ = 33.0°, intensity 27
- (1 0 3), 2θ = 36.3°, intensity 54
- (0 1 2), 2θ = 37.0°, intensity 63
- (1 1 2), 2θ = 40.8°, intensity 36
- (4 0 -3), 2θ = 43.8°, intensity 24
- (1 1 3), 2θ = 48.2°, intensity 23

***

Record 6
Starting from a cell relaxed with GGA+U, the powder diffraction line list of NaMn2O4 was computed for copper Kα.

```
data_NaMn2O4
_chemical_formula_sum 'Na4 Mn8 O16'
_cell_length_a 5.792
_cell_length_b 11.459
_cell_length_c 5.325
_cell_angle_alpha 90.00
_cell_angle_beta 90.00
_cell_angle_gamma 90.00
_symmetry_space_group_name_H-M 'P m m n'
_symmetry_Int_Tables_number 59
loop_
_symmetry_equiv_pos_as_xyz
'x,y,z'
'-x,-y,-z'
'-x+1/2,-y+1/2,z'
'x+1/2,y+1/2,-z'
'x+1/2,-y,-z'
'-x+1/2,y,z'
'-x,y+1/2,-z'
'x,-y+1/2,z'
loop_
_atom_site_label
_atom_site_fract_x
_atom_site_fract_y
_atom_site_fract_z
Na1 0.250 0.250 0.068
Na2 0.250 0.750 0.311
Mn1 0.000 0.000 0.500
Mn2 0.250 0.504 0.995
O1 0.001 0.096 0.870
O2 0.250 0.079 0.317
O3 0.250 0.584 0.668
```

Most intense lines, 2θ = 5–70°, in order of rising 2θ:
- (0 2 0), 2θ = 15.5°, intensity 100
- (0 4 0), 2θ = 31.2°, intensity 11
- (0 0 2), 2θ = 33.7°, intensity 8
- (2 0 1), 2θ = 35.3°, intensity 11
- (0 2 2), 2θ = 37.2°, intensity 15
- (2 2 1), 2θ = 38.7°, intensity 21
- (0 4 2), 2θ = 46.6°, intensity 11
- (2 4 1), 2θ = 47.8°, intensity 27
- (2 6 1), 2θ = 60.6°, intensity 11
- (2 0 3), 2θ = 61.2°, intensity 9

***

Record 7
Starting from a cell relaxed with GGA+U, the powder diffraction line list of Na5MnO4 was computed for copper Kα.

```
data_Na5MnO4
_chemical_formula_sum 'Na10 Mn2 O8'
_cell_length_a 7.886
_cell_length_b 6.067
_cell_length_c 5.878
_cell_angle_alpha 90.00
_cell_angle_beta 90.00
_cell_angle_gamma 90.00
_symmetry_space_group_name_H-M 'P m n 21'
_symmetry_Int_Tables_number 31
_symmetry_space_group_name_Hall 'P 2ac -2'
loop_
_atom_site_label
_atom_site_fract_x
_atom_site_fract_y
_atom_site_fract_z
Na1 0.000 0.177 0.000
Na2 0.179 0.571 0.301
Na3 0.199 0.106 0.490
Mn1 0.000 0.672 0.743
O1 0.000 0.372 0.624
O2 0.000 0.784 0.050
O3 0.225 0.757 0.643
```

Most intense lines, 2θ = 5–70°, in order of rising 2θ:
- (1 1 0), 2θ = 18.5°, intensity 43
- (1 0 1), 2θ = 18.8°, intensity 62
- (0 1 1), 2θ = 21.0°, intensity 44
- (1 2 0), 2θ = 31.6°, intensity 40
- (0 1 2), 2θ = 33.9°, intensity 80
- (1 1 2), 2θ = 35.8°, intensity 62
- (3 0 1), 2θ = 37.5°, intensity 100
- (3 1 1), 2θ = 40.4°, intensity 54
- (2 2 1), 2θ = 40.5°, intensity 63
- (2 1 3), 2θ = 54.4°, intensity 40

***

Record 8
Starting from a cell relaxed with GGA+U, the powder diffraction line list of Na4Mn2O5 was computed for copper Kα.

```
data_Na4Mn2O5
_chemical_formula_sum 'Na32 Mn16 O40'
_cell_length_a 5.844
_cell_length_b 9.633
_cell_length_c 19.883
_cell_angle_alpha 90.00
_cell_angle_beta 90.00
_cell_angle_gamma 90.00
_symmetry_space_group_name_H-M 'F d d d'
_symmetry_Int_Tables_number 70
loop_
_symmetry_equiv_pos_as_xyz
'x,y,z'
'-x,-y,-z'
'-x+1/4,-y+1/4,z'
'x+1/4,y+1/4,-z'
'x,-y+1/4,-z+1/4'
'-x,y+1/4,z+1/4'
'-x+1/4,y,-z+1/4'
'x+1/4,-y,z+1/4'
'x,y+1/2,z+1/2'
'-x,-y+1/2,-z+1/2'
'-x+1/4,-y+3/4,z+1/2'
'x+1/4,y+3/4,-z+1/2'
'x,-y+3/4,-z+3/4'
'-x,y+3/4,z+3/4'
'-x+1/4,y+1/2,-z+3/4'
'x+1/4,-y+1/2,z+3/4'
'x+1/2,y,z+1/2'
'-x+1/2,-y,-z+1/2'
'-x+3/4,-y+1/4,z+1/2'
'x+3/4,y+1/4,-z+1/2'
'x+1/2,-y+1/4,-z+3/4'
'-x+1/2,y+1/4,z+3/4'
'-x+3/4,y,-z+3/4'
'x+3/4,-y,z+3/4'
'x+1/2,y+1/2,z'
'-x+1/2,-y+1/2,-z'
'-x+3/4,-y+3/4,z'
'x+3/4,y+3/4,-z'
'x+1/2,-y+3/4,-z+1/4'
'-x+1/2,y+3/4,z+1/4'
'-x+3/4,y+1/2,-z+1/4'
'x+3/4,-y+1/2,z+1/4'
loop_
_atom_site_label
_atom_site_fract_x
_atom_site_fract_y
_atom_site_fract_z
Na1 0.120 0.374 0.465
Mn1 0.125 0.345 0.125
O1 0.125 0.125 0.125
O2 0.125 0.125 0.310
O3 0.125 0.125 0.442
```

Most intense lines, 2θ = 5–70°, in order of rising 2θ:
- (0 0 4), 2θ = 17.8°, intensity 23
- (1 1 1), 2θ = 18.3°, intensity 20
- (0 2 2), 2θ = 20.5°, intensity 77
- (0 2 6), 2θ = 32.8°, intensity 42
- (2 2 0), 2θ = 35.9°, intensity 28
- (0 4 0), 2θ = 37.3°, intensity 61
- (2 0 6), 2θ = 41.2°, intensity 100
- (2 2 8), 2θ = 51.9°, intensity 29
- (2 4 6), 2θ = 56.8°, intensity 53
- (2 2 12), 2θ = 67.9°, intensity 13

***

Record 9
Starting from a cell relaxed with GGA+U, the powder diffraction line list of Na5Mn7O15 was computed for copper Kα.

```
data_Na5Mn7O15
_chemical_formula_sum 'Na5 Mn7 O15'
_cell_length_a 6.282
_cell_length_b 6.351
_cell_length_c 10.030
_cell_angle_alpha 89.65
_cell_angle_beta 76.88
_cell_angle_gamma 60.39
_symmetry_space_group_name_H-M 'P 1'
_symmetry_Int_Tables_number 1
_symmetry_space_group_name_Hall 'P 1'
loop_
_atom_site_label
_atom_site_fract_x
_atom_site_fract_y
_atom_site_fract_z
Na1 0.000 0.000 0.000
Na2 0.017 0.479 0.494
Na3 0.131 0.436 0.828
Na4 0.219 0.398 0.144
Na5 0.252 0.865 0.646
Mn1 0.116 0.938 0.322
Mn2 0.606 0.701 0.072
Mn3 0.615 0.939 0.323
Mn4 0.616 0.438 0.323
Mn5 0.629 0.172 0.574
Mn6 0.651 0.893 0.809
Mn7 0.658 0.430 0.808
O1 0.373 0.848 0.422
O2 0.382 0.608 0.204
O3 0.410 0.016 0.188
O4 0.426 0.073 0.704
O5 0.430 0.791 0.924
O6 0.441 0.271 0.429
O7 0.450 0.480 0.689
O8 0.793 0.605 0.218
O9 0.796 0.384 0.964
O10 0.811 0.806 0.955
O11 0.815 0.074 0.726
O12 0.817 0.864 0.456
O13 0.838 0.594 0.712
O14 0.849 0.266 0.441
O15 0.857 0.030 0.222
```

Most intense lines, 2θ = 5–70°, in order of rising 2θ:
- (1 0 0), 2θ = 16.8°, intensity 100
- (0 1 -1), 2θ = 17.6°, intensity 74
- (0 0 2), 2θ = 18.3°, intensity 32
- (0 2 0), 2θ = 32.7°, intensity 38
- (1 2 -2), 2θ = 33.9°, intensity 38
- (1 1 -3), 2θ = 34.3°, intensity 27
- (2 1 3), 2θ = 35.5°, intensity 29
- (0 2 2), 2θ = 39.8°, intensity 38
- (2 2 -2), 2θ = 40.4°, intensity 37
- (2 0 4), 2θ = 43.7°, intensity 32